This entry pairs a crystal structure of LaTb2Rh3 with its calculated PXRD pattern. Radiation: Cu Kα (λ = 1.5418 Å). Structure: a GGA-PBE-relaxed structure.

The 8 most intense peaks (10° ≤ 2θ ≤ 90°), in order of falling intensity:
2θ = 36.4°, intensity 100; 2θ = 65.5°, intensity 27; 2θ = 52.4°, intensity 17; 2θ = 65.3°, intensity 9; 2θ = 88.5°, intensity 8; 2θ = 88.4°, intensity 8; 2θ = 77.3°, intensity 5; 2θ = 77.2°, intensity 5

```
LaTb2Rh3
1.0
4.937 0.000 0.000
-2.469 4.276 0.000
0.000 0.000 6.061
La Tb Rh
1 2 3
Direct
0.000 0.000 0.000
0.333 0.667 0.662
0.667 0.333 0.338
0.000 0.000 0.500
0.333 0.667 0.178
0.667 0.333 0.822
```